The following is a simulated X-ray diffraction stick pattern of Li2Ti6Zn3O16. It was derived from a crystal structure in the Materials Project, relaxed with PBE, using λ = 1.5418 Å (Cu Kα).
Peak positions follow from Bragg's law for the DFT cell and can differ from measured ones.

Atomic structure:
a = 8.4624 Å, b = 8.4642 Å, c = 8.4728 Å
α = 90.00°, β = 90.32°, γ = 90.00°
Fractional coordinates of all 54 atoms:
Li: 0.0045 0.0000 0.2518
Li: 0.1252 0.6221 0.1260
Li: 0.8748 0.1221 0.8740
Li: 0.9955 0.5000 0.7482
Ti: 0.1170 0.8701 0.8850
Ti: 0.1272 0.1353 0.6308
Ti: 0.1329 0.3775 0.3843
Ti: 0.3629 0.6122 0.8681
Ti: 0.3747 0.8653 0.1349
Ti: 0.3817 0.1231 0.3855
Ti: 0.6183 0.6231 0.6145
Ti: 0.6253 0.3653 0.8651
Ti: 0.6371 0.1122 0.1319
Ti: 0.8671 0.8775 0.6157
Ti: 0.8728 0.6353 0.3692
Ti: 0.8830 0.3701 0.1150
Zn: 0.2436 0.7522 0.5022
Zn: 0.2511 0.2451 0.0046
Zn: 0.4989 0.9935 0.7556
Zn: 0.5011 0.4935 0.2444
Zn: 0.7489 0.7451 0.9954
Zn: 0.7564 0.2522 0.4978
O: 0.1058 0.3701 0.1393
O: 0.1102 0.6045 0.3776
O: 0.1096 0.8856 0.6398
O: 0.1114 0.3525 0.6084
O: 0.1292 0.1083 0.8570
O: 0.1409 0.1392 0.3924
O: 0.1431 0.8740 0.1038
O: 0.1444 0.6385 0.8732
O: 0.3539 0.3556 0.3600
O: 0.3596 0.1079 0.6065
O: 0.3612 0.8589 0.8878
O: 0.3609 0.8902 0.3548
O: 0.3785 0.6416 0.1099
O: 0.3887 0.1074 0.1386
O: 0.3918 0.3926 0.8897
O: 0.3945 0.6376 0.6409
O: 0.6055 0.1376 0.3591
O: 0.6082 0.8926 0.1103
O: 0.6113 0.6074 0.8614
O: 0.6215 0.1416 0.8901
O: 0.6388 0.3589 0.1122
O: 0.6391 0.3902 0.6452
O: 0.6404 0.6079 0.3935
O: 0.6461 0.8556 0.6400
O: 0.8556 0.1385 0.1268
O: 0.8569 0.3740 0.8962
O: 0.8591 0.6392 0.6076
O: 0.8708 0.6083 0.1430
O: 0.8886 0.8525 0.3916
O: 0.8898 0.1045 0.6224
O: 0.8904 0.3856 0.3602
O: 0.8942 0.8701 0.8607

Main lines, sorted by position (2θ from 10° to 80°):
2θ 14.80, I = 41; 2θ 23.49, I = 30; 2θ 25.76, I = 31; 2θ 29.81, I = 43; 2θ 29.88, I = 44; 2θ 35.11, I = 98; 2θ 35.20, I = 100; 2θ 42.72, I = 28; 2θ 56.51, I = 43; 2θ 62.01, I = 61

The following is a simulated X-ray diffraction stick pattern of Li2Ti6Zn3O16. It was derived from a crystal structure in the Materials Project, relaxed with PBE, using λ = 1.5418 Å (Cu Kα).
Peak positions follow from Bragg's law for the DFT cell and can differ from measured ones.

Atomic structure:
a = 8.4561 Å, b = 8.4625 Å, c = 8.4621 Å
α = 90.00°, β = 90.44°, γ = 90.00°
Fractional coordinates of all 54 atoms:
Li: 0.1257 0.0000 0.1254
Li: 0.2470 0.1290 0.5020
Li: 0.7530 0.6290 0.4980
Li: 0.8743 0.5000 0.8746
Ti: 0.1191 0.2497 0.8764
Ti: 0.1249 0.5053 0.6290
Ti: 0.1349 0.7625 0.3818
Ti: 0.3689 0.9908 0.8656
Ti: 0.3770 0.2401 0.1410
Ti: 0.3887 0.4974 0.3876
Ti: 0.6113 0.9974 0.6124
Ti: 0.6230 0.7401 0.8590
Ti: 0.6311 0.4908 0.1344
Ti: 0.8651 0.2625 0.6182
Ti: 0.8751 0.0053 0.3710
Ti: 0.8809 0.7497 0.1236
Zn: 0.0055 0.3758 0.2520
Zn: 0.2522 0.6236 0.0038
Zn: 0.4986 0.3695 0.7538
Zn: 0.5014 0.8695 0.2462
Zn: 0.7478 0.1236 0.9962
Zn: 0.9945 0.8758 0.7480
O: 0.1058 0.7464 0.1383
O: 0.1093 0.2653 0.6432
O: 0.1092 0.9802 0.3770
O: 0.1117 0.7300 0.6092
O: 0.1285 0.4864 0.8578
O: 0.1372 0.5133 0.3908
O: 0.1402 0.2532 0.1051
O: 0.1418 0.0129 0.8730
O: 0.3537 0.7307 0.3599
O: 0.3579 0.4863 0.6074
O: 0.3593 0.2346 0.8876
O: 0.3627 0.2701 0.3541
O: 0.3782 0.0183 0.1110
O: 0.3895 0.4857 0.1363
O: 0.3916 0.7696 0.8873
O: 0.3945 0.0116 0.6432
O: 0.6055 0.5116 0.3568
O: 0.6084 0.2696 0.1127
O: 0.6105 0.9857 0.8637
O: 0.6218 0.5183 0.8890
O: 0.6373 0.7701 0.6459
O: 0.6407 0.7346 0.1124
O: 0.6421 0.9863 0.3926
O: 0.6463 0.2307 0.6401
O: 0.8582 0.5129 0.1270
O: 0.8598 0.7532 0.8949
O: 0.8628 0.0133 0.6092
O: 0.8715 0.9864 0.1422
O: 0.8883 0.2300 0.3908
O: 0.8908 0.4802 0.6230
O: 0.8907 0.7653 0.3568
O: 0.8942 0.2464 0.8617

Main lines, sorted by position (2θ from 10° to 80°):
2θ 14.80, I = 32; 2θ 23.49, I = 39; 2θ 25.86, I = 27; 2θ 29.87, I = 58; 2θ 35.12, I = 100; 2θ 35.24, I = 97; 2θ 42.75, I = 28; 2θ 56.43, I = 26; 2θ 56.63, I = 26; 2θ 62.05, I = 61

The following is a simulated X-ray diffraction stick pattern of Li2Ti3ZnO8. It was derived from a crystal structure in the Materials Project, relaxed with PBE, using λ = 1.5418 Å (Cu Kα).
Peak positions follow from Bragg's law for the DFT cell and can differ from measured ones.

Atomic structure:
a = 5.9642 Å, b = 5.9642 Å, c = 5.9642 Å
α = 60.22°, β = 60.22°, γ = 60.22°
Fractional coordinates of all 14 atoms:
Li: 0.0000 0.0000 0.0000
Li: 0.3798 0.3798 0.3798
Ti: 0.3775 0.3775 0.8862
Ti: 0.3775 0.8862 0.3775
Ti: 0.8862 0.3775 0.3775
Zn: 0.7619 0.7619 0.7619
O: 0.1303 0.1303 0.5868
O: 0.1303 0.5868 0.1303
O: 0.1388 0.1388 0.1388
O: 0.1667 0.6259 0.6259
O: 0.5868 0.1303 0.1303
O: 0.6212 0.6212 0.6212
O: 0.6259 0.1667 0.6259
O: 0.6259 0.6259 0.1667

Main lines, sorted by position (2θ from 10° to 80°):
2θ 18.23, I = 68; 2θ 21.03, I = 40; 2θ 29.96, I = 37; 2θ 35.20, I = 100; 2θ 35.31, I = 18; 2θ 42.82, I = 32; 2θ 56.58, I = 25; 2θ 56.69, I = 20; 2θ 62.04, I = 29; 2θ 62.27, I = 26

The following is a simulated X-ray diffraction stick pattern of LiTmO2. It was derived from a crystal structure in the Materials Project, relaxed with PBE, using λ = 1.5418 Å (Cu Kα).
Peak positions follow from Bragg's law for the DFT cell and can differ from measured ones.

Atomic structure:
a = 5.9898 Å, b = 5.9898 Å, c = 5.9898 Å
α = 136.93°, β = 136.93°, γ = 62.54°
Fractional coordinates of all 8 atoms:
Li: 0.3750 0.6250 0.7500
Li: 0.6250 0.3750 0.2500
Tm: 0.1250 0.8750 0.2500
Tm: 0.8750 0.1250 0.7500
O: 0.0973 0.3473 0.7500
O: 0.3473 0.0973 0.2500
O: 0.6527 0.9027 0.7500
O: 0.9027 0.6527 0.2500

Main lines, sorted by position (2θ from 10° to 80°):
2θ 22.00, I = 100; 2θ 33.23, I = 26; 2θ 33.73, I = 48; 2θ 35.06, I = 21; 2θ 41.05, I = 29; 2θ 47.06, I = 27; 2θ 49.07, I = 14; 2θ 53.80, I = 14; 2θ 55.06, I = 23; 2θ 70.13, I = 13